(1)
The following is a theoretical powder X-ray diffraction pattern of KFe2S3. It was derived from a crystal structure in the Materials Project, relaxed with PBE, using Cu Kα (weighted mean of Kα1 and Kα2).
Intensities are scaled so that the largest is 100.

Principal peaks in the range 10° ≤ 2θ ≤ 90°, low angle first:
2θ 12.7, intensity 100.0, hkl 1 1 0; 2θ 15.7, intensity 85.6, hkl 0 2 0; 2θ 25.8, intensity 39.5, hkl 1 3 0; 2θ 31.0, intensity 71.8, hkl 2 2 1; 2θ 38.4, intensity 17.3, hkl 0 2 2; 2θ 47.6, intensity 25.3, hkl 3 1 2; 2θ 47.8, intensity 29.5, hkl 0 4 2; 2θ 51.0, intensity 19.7, hkl 3 5 0; 2θ 52.7, intensity 16.4, hkl 4 4 0; 2θ 54.7, intensity 20.2, hkl 4 0 2

```
data_KFe2S3
_chemical_formula_sum 'K4 Fe8 S12'
_cell_length_a 8.828
_cell_length_b 11.275
_cell_length_c 5.157
_cell_angle_alpha 90.00
_cell_angle_beta 90.00
_cell_angle_gamma 90.00
_symmetry_space_group_name_H-M 'C m c m'
_symmetry_Int_Tables_number 63
_symmetry_space_group_name_Hall '-C 2c 2'
loop_
_atom_site_label
_atom_site_type_symbol
_atom_site_fract_x
_atom_site_fract_y
_atom_site_fract_z
K1 K 0.000 0.174 0.250
Fe1 Fe 0.144 0.500 0.000
S1 S 0.000 0.392 0.750
S2 S 0.221 0.106 0.750
```

=====

(2)
The following is a theoretical powder X-ray diffraction pattern of Sr2CuAg2S2O2. It was derived from a crystal structure in the Materials Project, relaxed with PBE, using Cu Kα (weighted mean of Kα1 and Kα2).
Intensities are scaled so that the largest is 100.

Principal peaks in the range 10° ≤ 2θ ≤ 90°, low angle first:
2θ 18.2, intensity 35.9, hkl 0 0 4; 2θ 27.4, intensity 21.4, hkl 0 0 6; 2θ 32.0, intensity 64.3, hkl 1 0 5; 2θ 32.8, intensity 100.0, hkl 1 1 2; 2θ 36.6, intensity 82.0, hkl 1 1 4; 2θ 39.3, intensity 41.2, hkl 1 0 7; 2θ 45.1, intensity 64.0, hkl 2 0 0; 2θ 56.4, intensity 24.3, hkl 2 1 5; 2θ 61.4, intensity 21.0, hkl 2 1 7; 2θ 75.1, intensity 24.4, hkl 2 0 12

```
data_Sr2CuAg2S2O2
_chemical_formula_sum 'Sr4 Cu2 Ag4 S4 O4'
_cell_length_a 4.017
_cell_length_b 4.017
_cell_length_c 19.529
_cell_angle_alpha 90.00
_cell_angle_beta 90.00
_cell_angle_gamma 90.00
_symmetry_space_group_name_H-M 'I 4/m m m'
_symmetry_Int_Tables_number 139
_symmetry_space_group_name_Hall '-I 4 2'
loop_
_atom_site_label
_atom_site_type_symbol
_atom_site_fract_x
_atom_site_fract_y
_atom_site_fract_z
Sr1 Sr 0.000 0.000 0.086
Cu1 Cu 0.000 0.000 0.500
Ag1 Ag 0.000 0.500 0.250
S1 S 0.000 0.000 0.343
O1 O 0.000 0.500 0.000
```